# 1
Structure and theoretical XRD peak list of GdPaOs (a PBE-relaxed structure; Cu Kα (weighted mean of Kα1 and Kα2)).
No peak broadening, texture or thermal motion is included.

Atomic structure:
Cell lengths 6.042, 6.042, 6.042 Å; angles 145.92, 145.92, 48.96 degrees
Fractional positions:
Gd 0.000 0.000 0.000
Pa 0.299 0.299 0.000
Os 0.686 0.686 0.000

Main lines, in order of rising 2θ (2θ from 5° to 70°):
| 2θ/deg | I_rel |
| --- | --- |
| 16.12 | 15 |
| 35.24 | 100 |
| 35.87 | 58 |
| 39.55 | 7 |
| 48.74 | 10 |
| 49.22 | 8 |
| 51.63 | 21 |
| 62.83 | 10 |
| 64.05 | 36 |
| 64.94 | 11 |



# 2
Structure and theoretical XRD peak list of GdYOsPd (a PBE-relaxed structure; Cu Kα (weighted mean of Kα1 and Kα2)).
No peak broadening, texture or thermal motion is included.

Atomic structure:
Cell lengths 4.906, 4.906, 4.906 Å; angles 60.00, 60.00, 60.00 degrees
Fractional positions:
Gd 0.000 0.000 0.000
Y 0.500 0.500 0.500
Os 0.250 0.250 0.250
Pd 0.750 0.750 0.750

Main lines, in order of rising 2θ (2θ from 5° to 70°):
| 2θ/deg | I_rel |
| --- | --- |
| 22.19 | 8 |
| 25.68 | 1 |
| 36.63 | 100 |
| 43.24 | 5 |
| 52.77 | 18 |
| 57.93 | 2 |
| 65.95 | 36 |



# 3
Structure and theoretical XRD peak list of GdP5 (a PBE-relaxed structure; Cu Kα (weighted mean of Kα1 and Kα2)).
No peak broadening, texture or thermal motion is included.

Atomic structure:
Cell lengths 4.957, 9.470, 5.377 Å; angles 90.00, 102.38, 90.00 degrees
Fractional positions:
Gd 0.008 0.250 0.351
Gd 0.992 0.750 0.649
P 0.279 0.250 0.899
P 0.287 0.530 0.404
P 0.287 0.970 0.404
P 0.382 0.592 0.043
P 0.382 0.908 0.043
P 0.618 0.092 0.957
P 0.618 0.408 0.957
P 0.713 0.030 0.596
P 0.713 0.470 0.596
P 0.721 0.750 0.101

Main lines, in order of rising 2θ (2θ from 5° to 70°):
| 2θ/deg | I_rel |
| --- | --- |
| 18.74 | 34 |
| 19.33 | 49 |
| 24.08 | 63 |
| 26.33 | 100 |
| 27.61 | 36 |
| 29.19 | 93 |
| 33.11 | 34 |
| 35.48 | 47 |
| 41.89 | 44 |
| 45.76 | 30 |